# 1
# K2GaC2O6
Simulated X-ray diffraction stick pattern, CuKα. Input: a cell relaxed with GGA-PBE.
Neutral-atom scattering factors, no anomalous dispersion.

Principal peaks in the range 2θ = 10–90°, sorted by position:
2θ = 17.6°, I = 52; 2θ = 27.3°, I = 53; 2θ = 28.3°, I = 36; 2θ = 29.6°, I = 100; 2θ = 31.5°, I = 68; 2θ = 33.0°, I = 86; 2θ = 34.9°, I = 48; 2θ = 45.8°, I = 54

Atomic structure:
a b c (Å): 6.2288 6.2288 6.5495
angles (deg): 114.87 114.87 48.18
Fractional coordinates of all 11 atoms:
K  0.1928  0.1928  0.1920
K  0.8072  0.8072  0.8080
Ga  0.0000  0.0000  0.5000
C  0.4933  0.4933  0.7296
C  0.5067  0.5067  0.2704
O  0.2171  0.6588  0.2342
O  0.3412  0.7829  0.7658
O  0.3693  0.3693  0.6614
O  0.6307  0.6307  0.3386
O  0.6588  0.2171  0.2342
O  0.7829  0.3412  0.7658

=====

# 2
# La4GaC
Simulated X-ray diffraction stick pattern, CuKα. Input: a cell relaxed with GGA-PBE.
Neutral-atom scattering factors, no anomalous dispersion.

Principal peaks in the range 2θ = 10–90°, sorted by position:
2θ = 25.6°, I = 29; 2θ = 27.3°, I = 38; 2θ = 29.3°, I = 65; 2θ = 31.2°, I = 49; 2θ = 32.0°, I = 52; 2θ = 34.1°, I = 100; 2θ = 44.2°, I = 21; 2θ = 52.6°, I = 18

Atomic structure:
a b c (Å): 9.7153 9.7153 6.9638
angles (deg): 90.00 90.00 148.56
Fractional coordinates of all 12 atoms:
La  0.0362  0.9638  0.5000
La  0.1773  0.8227  0.8708
La  0.1941  0.8059  0.3664
La  0.4221  0.5779  0.6145
La  0.5779  0.4221  0.1145
La  0.8059  0.1941  0.8664
La  0.8227  0.1773  0.3708
La  0.9638  0.0362  0.0000
Ga  0.3652  0.6348  0.1101
Ga  0.6348  0.3652  0.6101
C  0.0906  0.9094  0.1410
C  0.9094  0.0906  0.6410

=====

# 3
# LiGaC
Simulated X-ray diffraction stick pattern, CuKα. Input: a cell relaxed with GGA-PBE.
Neutral-atom scattering factors, no anomalous dispersion.

Principal peaks in the range 2θ = 10–90°, sorted by position:
2θ = 10.6°, I = 100; 2θ = 26.1°, I = 32; 2θ = 32.2°, I = 41; 2θ = 40.5°, I = 23; 2θ = 41.1°, I = 22; 2θ = 42.5°, I = 23; 2θ = 44.0°, I = 21; 2θ = 62.4°, I = 13

Atomic structure:
a b c (Å): 2.5826 3.7384 8.3295
angles (deg): 90.00 90.00 90.00
Fractional coordinates of all 6 atoms:
Li  0.0000  0.0000  0.0000
Li  0.5000  0.5000  0.3387
Ga  0.0000  0.0000  0.5700
Ga  0.5000  0.5000  0.7863
C  0.0000  0.5000  0.1354
C  0.5000  0.5000  0.0623

=====

# 4
# LiGaC
Simulated X-ray diffraction stick pattern, CuKα. Input: a cell relaxed with GGA-PBE.
Neutral-atom scattering factors, no anomalous dispersion.

Principal peaks in the range 2θ = 10–90°, sorted by position:
2θ = 10.4°, I = 100; 2θ = 29.1°, I = 16; 2θ = 31.0°, I = 39; 2θ = 31.2°, I = 19; 2θ = 36.1°, I = 38; 2θ = 36.3°, I = 18; 2θ = 43.5°, I = 23; 2θ = 51.9°, I = 14

Atomic structure:
a b c (Å): 6.0912 3.5487 8.5044
angles (deg): 90.00 90.06 90.00
Fractional coordinates of all 12 atoms:
Li  0.0000  0.0000  0.0000
Li  0.1654  0.5000  0.2474
Li  0.5000  0.5000  0.0000
Li  0.6654  0.0000  0.2474
Ga  0.1665  0.5000  0.7322
Ga  0.3300  0.0000  0.5275
Ga  0.6665  0.0000  0.7322
Ga  0.8300  0.5000  0.5275
C  0.3305  0.0000  0.1461
C  0.3306  0.0000  0.2953
C  0.8305  0.5000  0.1461
C  0.8306  0.5000  0.2953

=====

# 5
# LiGaC
Simulated X-ray diffraction stick pattern, CuKα. Input: a cell relaxed with GGA-PBE.
Neutral-atom scattering factors, no anomalous dispersion.

Principal peaks in the range 2θ = 10–90°, sorted by position:
2θ = 18.5°, I = 37; 2θ = 31.3°, I = 53; 2θ = 35.8°, I = 31; 2θ = 36.6°, I = 100; 2θ = 39.4°, I = 52; 2θ = 45.0°, I = 33; 2θ = 45.2°, I = 65; 2θ = 47.3°, I = 31

Atomic structure:
a b c (Å): 3.1947 19.1717 2.5995
angles (deg): 90.00 90.00 90.00
Fractional coordinates of all 12 atoms:
Li  0.0000  0.0725  0.2500
Li  0.0000  0.9275  0.7500
Li  0.5000  0.4275  0.7500
Li  0.5000  0.5725  0.2500
Ga  0.0000  0.3013  0.7500
Ga  0.0000  0.6987  0.2500
Ga  0.5000  0.1987  0.2500
Ga  0.5000  0.8013  0.7500
C  0.0000  0.4874  0.2500
C  0.0000  0.5126  0.7500
C  0.5000  0.0126  0.7500
C  0.5000  0.9874  0.2500

=====

# 6
# LiGa2ReC
Simulated X-ray diffraction stick pattern, CuKα. Input: a cell relaxed with GGA-PBE.
Neutral-atom scattering factors, no anomalous dispersion.

Principal peaks in the range 2θ = 10–90°, sorted by position:
2θ = 20.4°, I = 76; 2θ = 30.4°, I = 44; 2θ = 36.9°, I = 100; 2θ = 41.5°, I = 41; 2θ = 46.7°, I = 17; 2θ = 52.4°, I = 20; 2θ = 63.3°, I = 23; 2θ = 72.8°, I = 28

Atomic structure:
a b c (Å): 4.3484 4.3484 3.9834
angles (deg): 90.00 90.00 90.00
Fractional coordinates of all 5 atoms:
Li  0.0000  0.0000  0.0000
Ga  0.0000  0.5000  0.5000
Ga  0.5000  0.0000  0.5000
Re  0.5000  0.5000  0.0000
C  0.5000  0.5000  0.5000